Starting from a crystal structure in Alexandria, relaxed with PBE, the XRD peak list of Ho6Mg5Tl was simulated for λ = 1.5418 Å (Cu Kα).
No peak broadening, texture or thermal motion is included.

Atomic structure:
abc: 5.332 16.057 7.526
angles: 90.00 90.00 90.00
Space group Cmmm (No. 65)
Symmetry-distinct sites (fractional):
Ho 0.000 0.000 0.249
Ho 0.000 0.333 0.248
Mg 0.000 0.167 0.000
Mg 0.000 0.171 0.500
Mg 0.000 0.500 0.000
Tl 0.000 0.500 0.500

Principal peaks in the range 10 to 90 degrees two-theta, low angle first:
h k l	Position (°2θ)	d (Å)	I/Imax
1 3 0	23.58	3.773	36
0 6 0	33.48	2.676	20
2 0 0	33.62	2.666	100
2 6 0	48.18	1.889	15
0 0 4	48.38	1.882	7
3 3 0	54.36	1.688	8
1 9 2	59.94	1.543	15
3 3 2	60.14	1.539	30
4 0 0	70.67	1.333	12
4 6 0	80.45	1.194	10

Starting from a crystal structure in Alexandria, relaxed with PBE, the XRD peak list of Pm8DyEr3 was simulated for λ = 1.5418 Å (Cu Kα).
No peak broadening, texture or thermal motion is included.

Atomic structure:
abc: 11.561 6.923 10.205
angles: 90.00 90.09 90.00
Space group C2 (No. 5)
Symmetry-distinct sites (fractional):
Pm 0.000 0.000 0.189
Pm 0.000 0.500 0.189
Pm 0.250 0.250 0.311
Pm 0.250 0.250 0.689
Dy 0.000 0.250 0.500
Er 0.000 0.750 0.500
Er 0.250 0.001 0.000

Principal peaks in the range 10 to 90 degrees two-theta, low angle first:
h k l	Position (°2θ)	d (Å)	I/Imax
0 2 1	27.21	3.278	51
2 0 3	30.49	2.932	95
4 0 0	30.94	2.890	51
2 2 2	34.96	2.567	100
4 2 -1	41.66	2.168	33
0 2 5	52.01	1.758	22
6 0 -3	54.75	1.677	18
6 2 2	57.66	1.599	24
4 2 5	61.76	1.502	27
2 4 3	62.30	1.490	25

Starting from a crystal structure in Alexandria, relaxed with PBE, the XRD peak list of Mg5C4 was simulated for λ = 1.5418 Å (Cu Kα).
No peak broadening, texture or thermal motion is included.

Atomic structure:
abc: 7.018 7.018 6.396
angles: 90.00 90.00 90.00
Space group I4/mmm (No. 139)
Symmetry-distinct sites (fractional):
Mg 0.000 0.000 0.000
Mg 0.205 0.205 0.500
C 0.000 0.407 0.000

Principal peaks in the range 10 to 90 degrees two-theta, low angle first:
h k l	Position (°2θ)	d (Å)	I/Imax
0 0 2	27.90	3.198	100
2 1 1	31.76	2.817	30
2 2 0	36.20	2.481	43
3 0 1	41.09	2.197	71
2 2 2	46.32	1.960	40
0 0 4	57.65	1.599	10
3 0 3	58.58	1.576	23
2 2 4	70.00	1.344	10
5 2 1	74.28	1.277	25
5 2 3	87.79	1.112	15

Starting from a crystal structure in Alexandria, relaxed with PBE, the XRD peak list of La3Pm2Pr9 was simulated for λ = 1.5418 Å (Cu Kα).
No peak broadening, texture or thermal motion is included.

Atomic structure:
abc: 18.479 10.670 5.612
angles: 90.00 107.62 90.00
Space group C2/m (No. 12)
Symmetry-distinct sites (fractional):
La 0.000 0.000 0.000
La 0.172 0.000 0.672
Pm 0.000 0.245 0.500
Pr 0.000 0.500 0.000
Pr 0.124 0.226 0.122
Pr 0.193 0.350 0.690

Principal peaks in the range 10 to 90 degrees two-theta, low angle first:
h k l	Position (°2θ)	d (Å)	I/Imax
0 2 0	16.61	5.336	16
4 2 -1	27.62	3.229	100
1 3 -1	29.74	3.004	39
4 0 1	29.95	2.983	48
6 0 0	30.45	2.935	22
3 3 -1	31.46	2.843	21
2 0 -2	31.89	2.806	60
4 2 1	34.44	2.604	46
6 2 -3	54.26	1.691	18
2 6 1	56.51	1.629	31

Starting from a crystal structure in Alexandria, relaxed with PBE, the XRD peak list of NpSc4Rh15 was simulated for λ = 1.5418 Å (Cu Kα).
No peak broadening, texture or thermal motion is included.

Atomic structure:
abc: 3.948 3.948 19.706
angles: 90.00 90.00 90.00
Space group P4/mmm (No. 123)
Symmetry-distinct sites (fractional):
Np 0.000 0.000 0.000
Sc 0.000 0.000 0.203
Sc 0.000 0.000 0.401
Rh 0.000 0.500 0.099
Rh 0.000 0.500 0.302
Rh 0.000 0.500 0.500
Rh 0.500 0.500 0.000
Rh 0.500 0.500 0.203
Rh 0.500 0.500 0.401

Principal peaks in the range 10 to 90 degrees two-theta, low angle first:
h k l	Position (°2θ)	d (Å)	I/Imax
0 0 3	13.48	6.569	3
1 0 1	22.97	3.871	4
1 0 2	24.28	3.665	3
1 0 3	26.34	3.384	2
1 1 5	39.56	2.278	100
2 0 0	46.00	1.973	48
2 2 0	67.09	1.395	30
3 1 5	80.73	1.190	24
1 1 15	80.86	1.189	12
2 2 10	85.18	1.139	11

Starting from a crystal structure in Alexandria, relaxed with PBE, the XRD peak list of Cs2KNa16 was simulated for λ = 1.5418 Å (Cu Kα).
No peak broadening, texture or thermal motion is included.

Atomic structure:
abc: 12.7562 12.7562 18.5582
angles: 90.00 90.00 120.00
Space group R3m (No. 160, hexagonal axes)
Symmetry-distinct sites (fractional):
Cs 0.0000 0.0000 0.0000
Cs 0.0000 0.0000 0.3077
K 0.0000 0.0000 0.7485
Na 0.0000 0.0000 0.5462
Na 0.9997 0.2966 0.6494
Na 0.0122 0.5061 0.1509
Na 0.1692 0.3385 0.8310
Na 0.1702 0.3403 0.1384

Principal peaks in the range 10 to 90 degrees two-theta, low angle first:
h k l	Position (°2θ)	d (Å)	I/Imax
1 1 0	13.88	6.378	48
1 1 3	20.00	4.441	70
1 0 4	20.77	4.278	27
3 0 0	24.17	3.682	57
0 2 4	25.07	3.553	37
2 2 0	27.98	3.189	64
3 0 3	28.20	3.164	100
2 1 4	28.76	3.104	32
1 4 3	40.15	2.246	28
2 2 6	40.60	2.222	36

Starting from a crystal structure in Alexandria, relaxed with PBE, the XRD peak list of AgBi8Rh2 was simulated for λ = 1.5418 Å (Cu Kα).
No peak broadening, texture or thermal motion is included.

Atomic structure:
abc: 14.114 8.620 5.359
angles: 90.00 91.84 90.00
Space group C2/m (No. 12)
Symmetry-distinct sites (fractional):
Ag 0.000 0.000 0.000
Bi 0.094 0.278 0.728
Bi 0.126 0.500 0.222
Bi 0.212 0.000 0.268
Rh 0.178 0.000 0.764

Principal peaks in the range 10 to 90 degrees two-theta, low angle first:
h k l	Position (°2θ)	d (Å)	I/Imax
2 2 0	24.20	3.678	40
4 0 0	25.25	3.527	19
3 1 1	27.65	3.226	21
2 2 -1	29.22	3.056	95
2 2 1	29.70	3.008	48
0 0 2	33.44	2.680	100
3 3 1	40.72	2.216	32
0 4 0	41.92	2.155	33
2 2 2	42.07	2.148	21
0 4 2	54.67	1.679	22

Starting from a crystal structure in Alexandria, relaxed with PBE, the XRD peak list of La2In6CuPd was simulated for λ = 1.5418 Å (Cu Kα).
No peak broadening, texture or thermal motion is included.

Atomic structure:
abc: 10.243 10.243 10.243
angles: 90.00 90.00 90.00
Space group Fm-3m (No. 225)
Symmetry-distinct sites (fractional):
La 0.250 0.250 0.250
In 0.000 0.000 0.245
Cu 0.000 0.000 0.000
Pd 0.000 0.000 0.500

Principal peaks in the range 10 to 90 degrees two-theta, low angle first:
h k l	Position (°2θ)	d (Å)	I/Imax
2 0 0	17.31	5.122	9
2 2 0	24.58	3.621	18
2 2 2	30.23	2.957	95
4 0 0	35.04	2.561	100
4 4 0	50.40	1.811	69
6 2 2	59.90	1.544	39
4 4 4	62.86	1.478	23
8 0 0	74.04	1.280	11
6 6 2	82.01	1.175	16
8 4 0	84.62	1.145	30

Starting from a crystal structure in Alexandria, relaxed with PBE, the XRD peak list of Y5U2O12 was simulated for λ = 1.5418 Å (Cu Kα).
No peak broadening, texture or thermal motion is included.

Atomic structure:
abc: 6.582 6.626 19.593
angles: 96.79 97.10 99.33
Space group P1 (No. 1)
Symmetry-distinct sites (fractional):
Y 0.000 0.000 0.000
Y 0.001 0.524 0.085
Y 0.071 0.426 0.902
Y 0.147 0.434 0.694
Y 0.214 0.872 0.595
Y 0.216 0.328 0.513
Y 0.332 0.330 0.334
Y 0.333 0.856 0.419
Y 0.402 0.756 0.235
Y 0.550 0.667 0.846
Y 0.556 0.206 0.929
Y 0.670 0.203 0.753
Y 0.737 0.094 0.567
Y 0.884 0.998 0.179
Y 0.889 0.537 0.262
U 0.112 0.933 0.798
U 0.443 0.261 0.133
U 0.479 0.765 0.029
U 0.668 0.662 0.666
U 0.774 0.593 0.465
U 0.810 0.096 0.362
O 0.027 0.222 0.772
O 0.070 0.739 0.190
O 0.075 0.766 0.693
O 0.090 0.168 0.605
O 0.105 0.692 0.484
O 0.108 0.168 0.113
O 0.136 0.117 0.403
O 0.140 0.094 0.903
O 0.140 0.706 0.995
O 0.192 0.647 0.826
O 0.219 0.635 0.322
O 0.342 0.565 0.607
O 0.360 0.554 0.106
O 0.402 0.069 0.525
O 0.419 0.104 0.028
O 0.430 0.503 0.940
O 0.441 0.500 0.446
O 0.444 0.031 0.816
O 0.468 0.424 0.236
O 0.471 0.035 0.327
O 0.481 0.465 0.738
O 0.526 0.968 0.156
O 0.555 0.958 0.657
O 0.664 0.898 0.942
O 0.692 0.888 0.439
O 0.738 0.408 0.858
O 0.750 0.433 0.360
O 0.761 0.834 0.273
O 0.774 0.360 0.150
O 0.779 0.835 0.781
O 0.781 0.371 0.658
O 0.803 0.762 0.571
O 0.803 0.785 0.069
O 0.858 0.301 0.489
O 0.888 0.303 0.988
O 0.998 0.228 0.275

Principal peaks in the range 10 to 90 degrees two-theta, low angle first:
h k l	Position (°2θ)	d (Å)	I/Imax
1 0 -1	13.83	6.402	23
0 1 -4	21.41	4.150	21
1 1 -5	28.37	3.145	46
0 1 5	28.62	3.119	100
2 0 1	28.83	3.097	49
1 2 0	33.16	2.702	60
0 3 -6	47.34	1.920	16
-1 3 4	47.61	1.910	16
2 1 6	47.90	1.899	30
1 3 5	56.59	1.626	19

Starting from a crystal structure in Alexandria, relaxed with PBE, the XRD peak list of Np2ScPdS4 was simulated for λ = 1.5418 Å (Cu Kα).
No peak broadening, texture or thermal motion is included.

Atomic structure:
abc: 6.745 6.745 6.529
angles: 90.00 90.00 90.00
Space group I-42m (No. 121)
Symmetry-distinct sites (fractional):
Np 0.000 0.500 0.000
Sc 0.000 0.000 0.000
Pd 0.000 0.000 0.500
S 0.201 0.201 0.267

Principal peaks in the range 10 to 90 degrees two-theta, low angle first:
h k l	Position (°2θ)	d (Å)	I/Imax
1 1 0	18.60	4.770	48
2 0 0	26.43	3.373	65
0 0 2	27.32	3.265	27
1 1 2	33.26	2.694	29
2 2 0	37.72	2.385	50
2 0 2	38.37	2.346	100
3 1 0	42.37	2.133	17
2 2 2	47.20	1.926	31
4 2 0	61.48	1.508	17
4 2 2	68.53	1.369	30